For Ho8Ir3Au2, a structure optimized by DFT (GGA-PBE) gives the calculated X-ray powder pattern in this record (copper Kα).
Peak positions follow from Bragg's law for the DFT cell and can differ from measured ones.

Crystal structure
abc: 8.5193 4.8396 8.5299
angles: 90.00 109.96 90.00
Space group P2/m (No. 10)
Inequivalent atoms, fractional coordinates:
Ho 0.1167 0.0000 0.3831
Ho 0.1346 0.5000 0.8713
Ho 0.3714 0.5000 0.6343
Ho 0.3806 0.0000 0.1196
Ir 0.2482 0.0000 0.7478
Ir 0.5000 0.5000 0.0000
Au 0.2429 0.5000 0.2569

Largest 12 diffraction maxima, sorted by position, 2θ from 15° to 90°:
(0 0 2), 22.19°, intensity 9.5; (1 1 -1), 22.35°, intensity 9.5; (2 0 2), 36.69°, intensity 100.0; (0 2 0), 37.16°, intensity 19.7; (3 1 1), 43.43°, intensity 3.4; (4 0 -4), 52.43°, intensity 6.8; (2 2 2), 53.25°, intensity 14.1; (2 0 -6), 65.73°, intensity 6.9; (1 1 5), 66.05°, intensity 14.0; (5 1 1), 66.16°, intensity 7.2; (3 3 -1), 66.67°, intensity 14.1; (2 2 -6), 77.99°, intensity 8.5


For Ho3IrAu2, a structure optimized by DFT (GGA-PBE) gives the calculated X-ray powder pattern in this record (copper Kα).
Peak positions follow from Bragg's law for the DFT cell and can differ from measured ones.

Crystal structure
abc: 3.5304 3.5304 10.5763
angles: 90.00 90.00 90.00
Space group P4/mmm (No. 123)
Inequivalent atoms, fractional coordinates:
Ho 0.0000 0.0000 0.0000
Ho 0.0000 0.0000 0.3464
Ir 0.5000 0.5000 0.5000
Au 0.5000 0.5000 0.1701

Largest 9 diffraction maxima, sorted by position, 2θ from 15° to 90°:
(0 0 3), 25.24°, intensity 1.0; (1 1 0), 35.99°, intensity 100.0; (0 0 5), 42.73°, intensity 0.7; (2 0 0), 51.82°, intensity 17.6; (1 0 6), 58.49°, intensity 0.6; (2 1 3), 64.71°, intensity 35.9; (2 2 0), 76.33°, intensity 11.1; (3 1 0), 87.35°, intensity 11.4; (1 0 9), 87.48°, intensity 4.8


For Ho4Ir2Au, a structure optimized by DFT (GGA-PBE) gives the calculated X-ray powder pattern in this record (copper Kα).
Peak positions follow from Bragg's law for the DFT cell and can differ from measured ones.

Crystal structure
abc: 8.6232 12.2717 7.5210
angles: 90.00 124.90 90.00
Space group Cc (No. 9)
Inequivalent atoms, fractional coordinates:
Ho 0.0000 0.0007 0.0000
Ho 0.0391 0.4314 0.8561
Ho 0.1102 0.2491 0.2206
Ho 0.2934 0.1812 0.8650
Ir 0.3006 0.0654 0.4897
Ir 0.4216 0.3151 0.2315
Au 0.2368 0.3748 0.6106

Largest 12 diffraction maxima, sorted by position, 2θ from 15° to 90°:
(1 3 -2), 32.55°, intensity 100.0; (0 4 1), 32.60°, intensity 30.8; (3 1 -1), 32.81°, intensity 64.7; (1 1 -3), 38.66°, intensity 22.5; (1 5 0), 38.81°, intensity 40.4; (2 4 0), 38.89°, intensity 33.4; (3 3 -1), 38.99°, intensity 13.9; (2 4 1), 46.78°, intensity 15.2; (4 2 0), 53.92°, intensity 21.4; (4 4 -1), 54.06°, intensity 13.7; (1 5 3), 66.15°, intensity 13.4; (2 6 -4), 68.25°, intensity 12.8